(1)
Calculated powder diffraction line list
Compound: Ba2GeSe4
Radiation: Cu Kα (λ = 1.5418 Å)
Structure: a crystal structure in the Materials Project, relaxed with PBE

Cell and atoms:
```
data_Ba2GeSe4
_space_group_name_H-M_alt 'P 1 21/m 1'
_space_group_IT_number 11
_cell_length_a 7.2188
_cell_length_b 7.1800
_cell_length_c 9.2642
_cell_angle_alpha 90.00
_cell_angle_beta 108.51
_cell_angle_gamma 90.00
loop_
_space_group_symop_operation_xyz
'x,y,z'
'-x,-y,-z'
'-x,y+1/2,-z'
'x,-y+1/2,z'
loop_
_atom_site_label
_atom_site_type_symbol
_atom_site_fract_x
_atom_site_fract_y
_atom_site_fract_z
Ba1 Ba 0.2212 0.2500 0.0497
Ba2 Ba 0.2740 0.2500 0.5707
Ge1 Ge 0.2119 0.7500 0.7929
Se1 Se 0.0039 0.5086 0.2682
Se2 Se 0.3736 0.7500 0.0611
Se3 Se 0.4119 0.7500 0.6307
```

Largest 12 diffraction maxima, by angle, 10° ≤ 2θ ≤ 80°:
| (hkl) | 2θ/deg | intensity |
| --- | --- | --- |
| 0 2 0 | 24.80 | 42 |
| 2 0 -2 | 27.44 | 100 |
| 1 2 0 | 28.07 | 36 |
| 2 1 -2 | 30.18 | 94 |
| 1 2 -2 | 32.22 | 80 |
| 2 2 0 | 36.26 | 51 |
| 1 0 -4 | 38.89 | 38 |
| 3 1 0 | 41.53 | 17 |
| 2 3 -2 | 47.16 | 30 |
| 2 2 -4 | 48.63 | 18 |
| 0 4 0 | 50.87 | 21 |
| 1 4 -4 | 65.83 | 18 |

***

(2)
Calculated powder diffraction line list
Compound: Gd2GeBr2
Radiation: Cu Kα (λ = 1.5418 Å)
Structure: a crystal structure in the Materials Project, relaxed with PBE

Cell and atoms:
```
data_Gd2GeBr2
_space_group_name_H-M_alt 'P -3 m 1'
_space_group_IT_number 164
_space_group_name_Hall '-P 3 2"'
_cell_length_a 4.2062
_cell_length_b 4.2062
_cell_length_c 10.1200
_cell_angle_alpha 90.00
_cell_angle_beta 90.00
_cell_angle_gamma 120.00
loop_
_atom_site_label
_atom_site_type_symbol
_atom_site_fract_x
_atom_site_fract_y
_atom_site_fract_z
Gd1 Gd 0.3333 0.6667 0.1609
Ge1 Ge 0.0000 0.0000 0.0000
Br1 Br 0.3333 0.6667 0.6658
```

Largest 12 diffraction maxima, by angle, 10° ≤ 2θ ≤ 80°:
| (hkl) | 2θ/deg | intensity |
| --- | --- | --- |
| 0 0 2 | 17.53 | 7 |
| 1 0 0 | 24.44 | 13 |
| 0 1 1 | 26.00 | 10 |
| 0 1 2 | 30.23 | 100 |
| 0 1 3 | 36.30 | 8 |
| 1 1 0 | 43.01 | 34 |
| 1 0 4 | 43.55 | 34 |
| 2 0 2 | 53.47 | 20 |
| 0 2 4 | 62.87 | 11 |
| 1 2 2 | 70.94 | 17 |
| 1 1 6 | 71.73 | 14 |
| 2 1 4 | 79.21 | 12 |

***

(3)
Calculated powder diffraction line list
Compound: Er3Cu4Ge4
Radiation: Cu Kα (λ = 1.5418 Å)
Structure: a crystal structure in the Materials Project, relaxed with PBE

Cell and atoms:
```
data_Er3Cu4Ge4
_space_group_name_H-M_alt 'I m m m'
_space_group_IT_number 71
_space_group_name_Hall '-I 2 2'
_cell_length_a 4.1745
_cell_length_b 6.6413
_cell_length_c 13.8294
_cell_angle_alpha 90.00
_cell_angle_beta 90.00
_cell_angle_gamma 90.00
loop_
_atom_site_label
_atom_site_type_symbol
_atom_site_fract_x
_atom_site_fract_y
_atom_site_fract_z
Er1 Er 0.0000 0.0000 0.0000
Er2 Er 0.0000 0.5000 0.1290
Cu1 Cu 0.0000 0.3082 0.3289
Ge1 Ge 0.0000 0.0000 0.2164
Ge2 Ge 0.0000 0.1934 0.5000
```

Largest 12 diffraction maxima, by angle, 10° ≤ 2θ ≤ 80°:
| (hkl) | 2θ/deg | intensity |
| --- | --- | --- |
| 0 2 0 | 26.85 | 10 |
| 1 2 1 | 35.14 | 100 |
| 1 1 4 | 36.35 | 80 |
| 0 0 6 | 39.08 | 16 |
| 2 0 0 | 43.35 | 30 |
| 0 3 3 | 45.45 | 22 |
| 1 2 5 | 48.04 | 12 |
| 2 1 5 | 56.99 | 12 |
| 1 2 7 | 58.70 | 10 |
| 0 2 8 | 60.37 | 11 |
| 2 3 3 | 64.62 | 21 |
| 3 1 4 | 74.95 | 10 |

***

(4)
Calculated powder diffraction line list
Compound: Li4GeS4
Radiation: Cu Kα (λ = 1.5418 Å)
Structure: a crystal structure in the Materials Project, relaxed with PBE

Cell and atoms:
```
data_Li4GeS4
_space_group_name_H-M_alt 'P n m a'
_space_group_IT_number 62
_cell_length_a 14.1611
_cell_length_b 7.8139
_cell_length_c 6.1949
_cell_angle_alpha 90.00
_cell_angle_beta 90.00
_cell_angle_gamma 90.00
loop_
_space_group_symop_operation_xyz
'x,y,z'
'-x,-y,-z'
'-x+1/2,-y,z+1/2'
'x+1/2,y,-z+1/2'
'x+1/2,-y+1/2,-z+1/2'
'-x+1/2,y+1/2,z+1/2'
'-x,y+1/2,-z'
'x,-y+1/2,z'
loop_
_atom_site_label
_atom_site_type_symbol
_atom_site_fract_x
_atom_site_fract_y
_atom_site_fract_z
Li1 Li 0.0000 0.0000 0.0000
Li2 Li 0.0868 0.2500 0.3704
Li3 Li 0.1770 0.9997 0.8074
Ge1 Ge 0.0891 0.7500 0.3498
S1 S 0.0622 0.2500 0.7694
S2 S 0.0858 0.7500 0.7097
S3 S 0.1562 0.5137 0.2165
```

Largest 12 diffraction maxima, by angle, 10° ≤ 2θ ≤ 80°:
| (hkl) | 2θ/deg | intensity |
| --- | --- | --- |
| 2 0 0 | 12.50 | 43 |
| 2 1 0 | 16.90 | 100 |
| 0 1 1 | 18.28 | 61 |
| 2 0 1 | 19.04 | 48 |
| 4 0 0 | 25.15 | 46 |
| 2 2 0 | 26.05 | 67 |
| 3 1 1 | 26.34 | 34 |
| 1 2 1 | 27.71 | 48 |
| 0 0 2 | 28.82 | 56 |
| 6 2 0 | 44.87 | 66 |
| 0 4 0 | 46.49 | 30 |
| 6 2 2 | 54.20 | 27 |

***

(5)
Calculated powder diffraction line list
Compound: MgSiN2
Radiation: Cu Kα (λ = 1.5418 Å)
Structure: a crystal structure in the Materials Project, relaxed with PBE

Cell and atoms:
```
data_MgSiN2
_space_group_name_H-M_alt 'R -3 m'
_space_group_IT_number 166
_space_group_name_Hall '-R 3 2"'
_cell_length_a 2.8515
_cell_length_b 2.8515
_cell_length_c 14.6889
_cell_angle_alpha 90.00
_cell_angle_beta 90.00
_cell_angle_gamma 120.00
loop_
_atom_site_label
_atom_site_type_symbol
_atom_site_fract_x
_atom_site_fract_y
_atom_site_fract_z
Mg1 Mg 0.0000 0.0000 0.0000
Si1 Si 0.0000 0.0000 0.5000
N1 N 0.0000 0.0000 0.2367
```

Largest 12 diffraction maxima, by angle, 10° ≤ 2θ ≤ 80°:
| (hkl) | 2θ/deg | intensity |
| --- | --- | --- |
| 0 0 3 | 18.12 | 8 |
| 0 0 6 | 36.71 | 9 |
| 0 1 2 | 38.46 | 20 |
| 1 0 4 | 44.20 | 100 |
| 0 1 5 | 48.14 | 1 |
| 1 0 7 | 57.65 | 2 |
| 0 1 8 | 63.09 | 28 |
| 1 1 0 | 65.46 | 28 |
| 1 0 10 | 75.27 | 6 |
| 1 1 6 | 77.47 | 9 |
| 0 0 12 | 78.07 | 4 |
| 2 0 2 | 78.56 | 4 |

***

(6)
Calculated powder diffraction line list
Compound: RbSm2I5
Radiation: Cu Kα (λ = 1.5418 Å)
Structure: a crystal structure in the Materials Project, relaxed with PBE

Cell and atoms:
```
data_RbSm2I5
_space_group_name_H-M_alt 'P 1 21/c 1'
_space_group_IT_number 14
_cell_length_a 9.7827
_cell_length_b 8.7887
_cell_length_c 14.1318
_cell_angle_alpha 90.00
_cell_angle_beta 90.76
_cell_angle_gamma 90.00
loop_
_space_group_symop_operation_xyz
'x,y,z'
'-x,-y,-z'
'-x,y+1/2,-z+1/2'
'x,-y+1/2,z+1/2'
loop_
_atom_site_label
_atom_site_type_symbol
_atom_site_fract_x
_atom_site_fract_y
_atom_site_fract_z
Rb1 Rb 0.0006 0.0469 0.1724
Sm1 Sm 0.2666 0.0871 0.5007
Sm2 Sm 0.4940 0.0533 0.1765
I1 I 0.0359 0.6651 0.0797
I2 I 0.2764 0.1831 0.7174
I3 I 0.2909 0.0403 0.9934
I4 I 0.2924 0.6538 0.8209
I5 I 0.4546 0.6621 0.1027
```

Largest 12 diffraction maxima, by angle, 10° ≤ 2θ ≤ 80°:
| (hkl) | 2θ/deg | intensity |
| --- | --- | --- |
| 2 1 2 | 24.47 | 35 |
| 0 1 4 | 27.21 | 71 |
| 2 2 -1 | 27.98 | 100 |
| 2 2 1 | 28.07 | 54 |
| 2 2 -2 | 30.02 | 68 |
| 2 2 2 | 30.23 | 52 |
| 2 0 -4 | 31.03 | 39 |
| 0 3 1 | 31.18 | 58 |
| 2 0 4 | 31.44 | 38 |
| 4 0 0 | 36.75 | 57 |
| 2 1 -5 | 37.95 | 36 |
| 0 2 6 | 43.60 | 33 |

***

(7)
Calculated powder diffraction line list
Compound: Li2Cu2Si5O13
Radiation: Cu Kα (λ = 1.5418 Å)
Structure: a crystal structure in the Materials Project, relaxed with PBE

Cell and atoms:
```
data_Li2Cu2Si5O13
_space_group_name_H-M_alt 'P -1'
_space_group_IT_number 2
_cell_length_a 7.6129
_cell_length_b 7.8543
_cell_length_c 9.6643
_cell_angle_alpha 83.03
_cell_angle_beta 68.75
_cell_angle_gamma 67.84
loop_
_space_group_symop_operation_xyz
'x,y,z'
'-x,-y,-z'
loop_
_atom_site_label
_atom_site_type_symbol
_atom_site_fract_x
_atom_site_fract_y
_atom_site_fract_z
Li1 Li 0.1537 0.4019 0.2396
Li2 Li 0.2145 0.0676 0.3636
Cu1 Cu 0.0474 0.1475 0.0984
Cu2 Cu 0.4404 0.8445 0.9092
Si1 Si 0.1748 0.2195 0.7607
Si2 Si 0.2052 0.6917 0.5516
Si3 Si 0.2441 0.7559 0.2341
Si4 Si 0.3116 0.4609 0.9029
Si5 Si 0.3849 0.2904 0.4477
O1 O 0.0058 0.7743 0.6944
O2 O 0.0568 0.6927 0.2470
O3 O 0.1928 0.6795 0.9339
O4 O 0.1939 0.8289 0.4050
O5 O 0.1980 0.0553 0.8796
O6 O 0.2102 0.4976 0.4990
O7 O 0.2157 0.3950 0.7988
O8 O 0.2760 0.9241 0.1234
O9 O 0.3162 0.3230 0.0431
O10 O 0.3243 0.1536 0.5877
O11 O 0.3801 0.2111 0.3036
O12 O 0.4043 0.6835 0.5787
O13 O 0.4465 0.5723 0.1948
```

Largest 12 diffraction maxima, by angle, 10° ≤ 2θ ≤ 80°:
| (hkl) | 2θ/deg | intensity |
| --- | --- | --- |
| 0 1 -1 | 15.52 | 27 |
| 2 1 1 | 23.55 | 62 |
| 0 2 0 | 24.48 | 44 |
| 2 2 1 | 27.83 | 99 |
| 2 2 0 | 29.22 | 20 |
| 2 2 2 | 29.95 | 26 |
| 0 2 -2 | 31.36 | 35 |
| 0 2 2 | 31.89 | 21 |
| 0 1 -3 | 32.09 | 100 |
| 0 1 3 | 32.47 | 31 |
| 0 1 4 | 42.23 | 21 |
| 4 1 2 | 48.35 | 23 |